Starting from a GGA-PBE-relaxed structure, the powder XRD pattern of Ca2Al7Rh was simulated for Cu Kα (λ = 1.5418 Å).

Peak list (8 most intense, 10° ≤ 2θ ≤ 90°, by angle)
(hkl), 2θ (°), d_spacing, Rel. int.
1 0 1, 22.75, 3.909, 21
1 0 3, 31.63, 2.829, 39
1 1 2, 34.23, 2.619, 100
2 0 0, 43.59, 2.076, 43
1 1 4, 43.89, 2.063, 25
1 0 5, 44.76, 2.025, 21
0 0 8, 64.26, 1.449, 19
3 1 2, 74.02, 1.281, 19

Structural model:
```
Ca2Al7Rh
1.0
4.152 0.000 0.000
0.000 4.152 0.000
0.000 0.000 11.594
Ca Al Rh
2 7 1
Direct
0.000 0.500 0.241
0.500 0.000 0.759
0.000 0.000 0.000
0.000 0.000 0.500
0.000 0.500 0.645
0.000 0.500 0.870
0.500 0.000 0.130
0.500 0.000 0.355
0.500 0.500 0.500
0.500 0.500 0.000
```